Computed XRD peak list
Compound: CeP2PtRh7
Radiation: Cu Kα (weighted mean of Kα1 and Kα2)
Structure: DFT lattice parameters and positions (PBE)

Structural model:
a b c (Å): 11.791 11.791 11.791
angles (deg): 158.60 158.60 30.45
Fractional coordinates of all 11 atoms:
Ce (0.000, 0.000, 0.000)
P (0.389, 0.389, 0.000)
P (0.611, 0.611, 0.000)
Pt (0.750, 0.250, 0.500)
Rh (0.084, 0.584, 0.500)
Rh (0.294, 0.294, 0.000)
Rh (0.416, 0.916, 0.500)
Rh (0.500, 0.500, 0.000)
Rh (0.585, 0.085, 0.500)
Rh (0.706, 0.706, 0.000)
Rh (0.915, 0.415, 0.500)

Principal peaks in the range 2θ = 10–90°, sorted by position:
d = 5.689 Å, 2θ = 15.58°, I = 18
d = 4.300 Å, 2θ = 20.65°, I = 27
d = 3.793 Å, 2θ = 23.46°, I = 58
d = 2.720 Å, 2θ = 32.93°, I = 20
d = 2.399 Å, 2θ = 37.50°, I = 100
d = 2.190 Å, 2θ = 41.23°, I = 75
d = 1.896 Å, 2θ = 47.98°, I = 28
d = 1.548 Å, 2θ = 59.72°, I = 27
d = 1.433 Å, 2θ = 65.07°, I = 18
d = 1.301 Å, 2θ = 72.69°, I = 28

---

Computed XRD peak list
Compound: Au
Radiation: Cu Kα (weighted mean of Kα1 and Kα2)
Structure: DFT lattice parameters and positions (PBE)

Structural model:
a b c (Å): 9.036 8.230 4.920
angles (deg): 82.70 64.61 32.69
Fractional coordinates of all 8 atoms:
Au (0.039, 0.039, 0.211)
Au (0.211, 0.211, 0.039)
Au (0.214, 0.536, 0.214)
Au (0.464, 0.786, 0.464)
Au (0.536, 0.214, 0.536)
Au (0.786, 0.464, 0.786)
Au (0.789, 0.789, 0.961)
Au (0.961, 0.961, 0.789)

Principal peaks in the range 2θ = 10–90°, sorted by position:
d = 3.200 Å, 2θ = 27.88°, I = 21
d = 2.488 Å, 2θ = 36.10°, I = 66
d = 2.421 Å, 2θ = 37.14°, I = 100
d = 2.257 Å, 2θ = 39.94°, I = 49
d = 2.222 Å, 2θ = 40.61°, I = 20
d = 2.180 Å, 2θ = 41.41°, I = 48
d = 1.971 Å, 2θ = 46.05°, I = 28
d = 1.911 Å, 2θ = 47.58°, I = 21
d = 1.794 Å, 2θ = 50.91°, I = 24
d = 1.351 Å, 2θ = 69.60°, I = 25

---

Computed XRD peak list
Compound: Pm2ZrPaN4
Radiation: Cu Kα (weighted mean of Kα1 and Kα2)
Structure: DFT lattice parameters and positions (PBE)

Structural model:
a b c (Å): 5.990 3.483 6.085
angles (deg): 90.00 108.93 90.00
Fractional coordinates of all 8 atoms:
Pm (0.000, 0.000, 0.000)
Pm (0.500, 0.500, 0.000)
Zr (0.000, 0.500, 0.500)
Pa (0.500, 0.000, 0.500)
N (0.239, 0.000, 0.715)
N (0.256, 0.500, 0.282)
N (0.744, 0.500, 0.718)
N (0.761, 0.000, 0.285)

Principal peaks in the range 2θ = 10–90°, sorted by position:
d = 2.878 Å, 2θ = 31.07°, I = 35
d = 2.839 Å, 2θ = 31.52°, I = 100
d = 2.472 Å, 2θ = 36.34°, I = 65
d = 2.456 Å, 2θ = 36.58°, I = 32
d = 1.753 Å, 2θ = 52.17°, I = 33
d = 1.742 Å, 2θ = 52.55°, I = 11
d = 1.732 Å, 2θ = 52.85°, I = 22
d = 1.499 Å, 2θ = 61.89°, I = 11
d = 1.483 Å, 2θ = 62.65°, I = 20
d = 1.421 Å, 2θ = 65.72°, I = 11

---

Computed XRD peak list
Compound: Er4Ni2Rh
Radiation: Cu Kα (weighted mean of Kα1 and Kα2)
Structure: DFT lattice parameters and positions (PBE)

Structural model:
a b c (Å): 7.314 7.314 7.314
angles (deg): 110.14 109.14 109.13
Fractional coordinates of all 14 atoms:
Er (0.003, 0.880, 0.502)
Er (0.122, 0.123, 0.120)
Er (0.378, 0.498, 0.001)
Er (0.497, 0.999, 0.877)
Er (0.502, 0.002, 0.380)
Er (0.622, 0.620, 0.623)
Er (0.878, 0.501, 0.998)
Er (0.998, 0.377, 0.499)
Ni (0.124, 0.750, 0.874)
Ni (0.376, 0.250, 0.626)
Ni (0.623, 0.373, 0.250)
Ni (0.877, 0.127, 0.750)
Rh (0.250, 0.625, 0.375)
Rh (0.750, 0.875, 0.125)

Principal peaks in the range 2θ = 10–90°, sorted by position:
d = 2.980 Å, 2θ = 29.99°, I = 27
d = 2.680 Å, 2θ = 33.44°, I = 100
d = 2.652 Å, 2θ = 33.80°, I = 52
d = 2.265 Å, 2θ = 39.81°, I = 30
d = 2.258 Å, 2θ = 39.92°, I = 31
d = 2.248 Å, 2θ = 40.10°, I = 21
d = 1.727 Å, 2θ = 53.01°, I = 15
d = 1.663 Å, 2θ = 55.25°, I = 22
d = 1.656 Å, 2θ = 55.49°, I = 16
d = 1.651 Å, 2θ = 55.69°, I = 15

---

Computed XRD peak list
Compound: PrEr3Ni
Radiation: Cu Kα (weighted mean of Kα1 and Kα2)
Structure: DFT lattice parameters and positions (PBE)

Structural model:
a b c (Å): 7.441 7.441 5.887
angles (deg): 90.00 90.00 120.00
Fractional coordinates of all 10 atoms:
Pr (0.333, 0.667, 0.250)
Pr (0.667, 0.333, 0.750)
Er (0.176, 0.352, 0.750)
Er (0.176, 0.824, 0.750)
Er (0.352, 0.176, 0.250)
Er (0.648, 0.824, 0.750)
Er (0.824, 0.176, 0.250)
Er (0.824, 0.648, 0.250)
Ni (0.000, 0.000, 0.000)
Ni (0.000, 0.000, 0.500)

Principal peaks in the range 2θ = 10–90°, sorted by position:
d = 3.222 Å, 2θ = 27.69°, I = 15
d = 2.944 Å, 2θ = 30.37°, I = 20
d = 2.826 Å, 2θ = 31.66°, I = 100
d = 2.173 Å, 2θ = 41.56°, I = 23
d = 1.860 Å, 2θ = 48.97°, I = 23
d = 1.676 Å, 2θ = 54.77°, I = 21
d = 1.573 Å, 2θ = 58.71°, I = 18
d = 1.554 Å, 2θ = 59.49°, I = 16
d = 1.193 Å, 2θ = 80.55°, I = 12
d = 1.154 Å, 2θ = 83.81°, I = 10

---

Computed XRD peak list
Compound: CsMoCl2
Radiation: Cu Kα (weighted mean of Kα1 and Kα2)
Structure: DFT lattice parameters and positions (PBE)

Structural model:
a b c (Å): 5.313 5.313 24.844
angles (deg): 90.00 90.00 120.00
Fractional coordinates of all 12 atoms:
Cs (0.000, 0.000, 0.000)
Cs (0.333, 0.667, 0.667)
Cs (0.667, 0.333, 0.333)
Mo (0.000, 0.000, 0.500)
Mo (0.333, 0.667, 0.167)
Mo (0.667, 0.333, 0.833)
Cl (0.000, 0.000, 0.402)
Cl (0.000, 0.000, 0.598)
Cl (0.333, 0.667, 0.069)
Cl (0.333, 0.667, 0.265)
Cl (0.667, 0.333, 0.735)
Cl (0.667, 0.333, 0.931)

Principal peaks in the range 2θ = 10–90°, sorted by position:
d = 4.315 Å, 2θ = 20.59°, I = 100
d = 4.141 Å, 2θ = 21.46°, I = 12
d = 3.697 Å, 2θ = 24.07°, I = 30
d = 2.656 Å, 2θ = 33.74°, I = 40
d = 2.574 Å, 2θ = 34.86°, I = 24
d = 2.262 Å, 2θ = 39.85°, I = 17
d = 2.236 Å, 2θ = 40.34°, I = 15
d = 2.186 Å, 2θ = 41.30°, I = 22
d = 1.722 Å, 2θ = 53.18°, I = 15
d = 1.633 Å, 2θ = 56.34°, I = 13

---

Computed XRD peak list
Compound: TlSiPb
Radiation: Cu Kα (weighted mean of Kα1 and Kα2)
Structure: DFT lattice parameters and positions (PBE)

Structural model:
a b c (Å): 3.595 3.595 12.435
angles (deg): 90.00 90.00 90.00
Fractional coordinates of all 6 atoms:
Tl (0.000, 0.000, 0.000)
Tl (0.500, 0.500, 0.500)
Si (0.000, 0.000, 0.349)
Si (0.500, 0.500, 0.849)
Pb (0.000, 0.000, 0.717)
Pb (0.500, 0.500, 0.217)

Principal peaks in the range 2θ = 10–90°, sorted by position:
d = 3.454 Å, 2θ = 25.80°, I = 63
d = 3.109 Å, 2θ = 28.72°, I = 28
d = 2.716 Å, 2θ = 32.98°, I = 100
d = 2.542 Å, 2θ = 35.31°, I = 52
d = 1.968 Å, 2θ = 46.13°, I = 32
d = 1.798 Å, 2θ = 50.79°, I = 19
d = 1.593 Å, 2θ = 57.87°, I = 34
d = 1.556 Å, 2θ = 59.40°, I = 18
d = 1.499 Å, 2θ = 61.90°, I = 34
d = 1.192 Å, 2θ = 80.58°, I = 19

---

Computed XRD peak list
Compound: Pa2Pd5Pt5
Radiation: Cu Kα (weighted mean of Kα1 and Kα2)
Structure: DFT lattice parameters and positions (PBE)

Structural model:
a b c (Å): 6.361 6.361 9.175
angles (deg): 113.33 113.33 37.84
Fractional coordinates of all 12 atoms:
Pa (0.083, 0.083, 0.252)
Pa (0.917, 0.917, 0.748)
Pd (0.000, 0.000, 0.500)
Pd (0.167, 0.167, 0.000)
Pd (0.254, 0.254, 0.752)
Pd (0.746, 0.746, 0.248)
Pd (0.833, 0.833, 0.000)
Pt (0.333, 0.333, 0.493)
Pt (0.419, 0.419, 0.249)
Pt (0.500, 0.500, 0.000)
Pt (0.581, 0.581, 0.751)
Pt (0.667, 0.667, 0.507)

Principal peaks in the range 2θ = 10–90°, sorted by position:
d = 2.383 Å, 2θ = 37.75°, I = 100
d = 2.351 Å, 2θ = 38.29°, I = 96
d = 2.083 Å, 2θ = 43.44°, I = 34
d = 2.063 Å, 2θ = 43.90°, I = 33
d = 2.005 Å, 2θ = 45.22°, I = 30
d = 1.466 Å, 2θ = 63.47°, I = 22
d = 1.438 Å, 2θ = 64.85°, I = 21
d = 1.258 Å, 2θ = 75.61°, I = 13
d = 1.244 Å, 2θ = 76.61°, I = 26
d = 1.239 Å, 2θ = 76.94°, I = 13

---

Computed XRD peak list
Compound: TbPr2Cu6
Radiation: Cu Kα (weighted mean of Kα1 and Kα2)
Structure: DFT lattice parameters and positions (PBE)

Structural model:
a b c (Å): 7.409 7.409 3.738
angles (deg): 90.00 90.00 120.00
Fractional coordinates of all 9 atoms:
Tb (0.000, 0.000, 0.000)
Pr (0.333, 0.667, 0.000)
Pr (0.667, 0.333, 0.000)
Cu (0.000, 0.331, 0.500)
Cu (0.000, 0.669, 0.500)
Cu (0.331, 0.000, 0.500)
Cu (0.331, 0.331, 0.500)
Cu (0.669, 0.000, 0.500)
Cu (0.669, 0.669, 0.500)

Principal peaks in the range 2θ = 10–90°, sorted by position:
d = 3.705 Å, 2θ = 24.02°, I = 16
d = 2.631 Å, 2θ = 34.07°, I = 100
d = 2.139 Å, 2θ = 42.25°, I = 48
d = 1.869 Å, 2θ = 48.72°, I = 10
d = 1.669 Å, 2θ = 55.03°, I = 3
d = 1.660 Å, 2θ = 55.35°, I = 24
d = 1.407 Å, 2θ = 66.42°, I = 24
d = 1.311 Å, 2θ = 72.02°, I = 22
d = 1.235 Å, 2θ = 77.26°, I = 8
d = 1.181 Å, 2θ = 81.50°, I = 8

---

Computed XRD peak list
Compound: CsLi2BiI6
Radiation: Cu Kα (weighted mean of Kα1 and Kα2)
Structure: DFT lattice parameters and positions (PBE)

Structural model:
a b c (Å): 10.359 10.359 10.359
angles (deg): 43.14 43.14 43.14
Fractional coordinates of all 10 atoms:
Cs (0.000, 0.000, 0.000)
Li (0.167, 0.167, 0.167)
Li (0.833, 0.833, 0.833)
Bi (0.500, 0.500, 0.500)
I (0.097, 0.444, 0.776)
I (0.224, 0.903, 0.556)
I (0.444, 0.776, 0.097)
I (0.556, 0.224, 0.903)
I (0.776, 0.097, 0.444)
I (0.903, 0.556, 0.224)

Principal peaks in the range 2θ = 10–90°, sorted by position:
d = 5.972 Å, 2θ = 14.83°, I = 43
d = 4.811 Å, 2θ = 18.44°, I = 33
d = 3.528 Å, 2θ = 25.24°, I = 96
d = 2.956 Å, 2θ = 30.23°, I = 100
d = 2.416 Å, 2θ = 37.21°, I = 23
d = 2.198 Å, 2θ = 41.06°, I = 44
d = 1.997 Å, 2θ = 45.43°, I = 31
d = 1.866 Å, 2θ = 48.81°, I = 20
d = 1.764 Å, 2θ = 51.83°, I = 22
d = 1.376 Å, 2θ = 68.15°, I = 20

---

Computed XRD peak list
Compound: CdRh
Radiation: Cu Kα (weighted mean of Kα1 and Kα2)
Structure: DFT lattice parameters and positions (PBE)

Structural model:
a b c (Å): 2.862 12.143 6.629
angles (deg): 90.00 90.00 90.00
Fractional coordinates of all 12 atoms:
Cd (0.000, 0.000, 0.000)
Cd (0.000, 0.500, 0.500)
Cd (0.500, 0.242, 0.364)
Cd (0.500, 0.258, 0.864)
Cd (0.500, 0.742, 0.864)
Cd (0.500, 0.758, 0.364)
Rh (0.000, 0.110, 0.629)
Rh (0.000, 0.390, 0.129)
Rh (0.000, 0.610, 0.129)
Rh (0.000, 0.890, 0.629)
Rh (0.500, 0.000, 0.364)
Rh (0.500, 0.500, 0.864)

Principal peaks in the range 2θ = 10–90°, sorted by position:
d = 3.454 Å, 2θ = 25.79°, I = 41
d = 2.589 Å, 2θ = 34.65°, I = 41
d = 2.568 Å, 2θ = 34.93°, I = 51
d = 2.239 Å, 2θ = 40.29°, I = 98
d = 2.204 Å, 2θ = 40.95°, I = 36
d = 2.174 Å, 2θ = 41.54°, I = 37
d = 2.166 Å, 2θ = 41.69°, I = 100
d = 2.083 Å, 2θ = 43.45°, I = 48
d = 1.784 Å, 2θ = 51.22°, I = 44
d = 1.297 Å, 2θ = 72.95°, I = 46